[1]
For TmTlO3, a cell relaxed with PBE gives the calculated XRD peak list in this record (copper Kα).
Peak positions follow from Bragg's law for the DFT cell and can differ from measured ones.

Structure:
```
TmTlO3
1.0
5.8409 0.0000 0.0000
0.0000 8.4903 0.0000
0.0000 0.0000 5.7410
Tm Tl O
4 4 12
Cartesian
0.0000 0.0000 0.0000
0.0000 4.2452 0.0000
2.9205 0.0000 2.8705
2.9205 4.2452 2.8705
0.2748 2.1226 2.7856
2.6456 6.3677 5.6561
3.1953 2.1226 0.0849
5.5661 6.3677 2.9554
0.5380 6.3677 0.7199
1.0437 4.8609 3.8722
1.0437 7.8746 3.8722
1.8768 0.6158 1.0017
1.8768 3.6294 1.0017
2.3825 2.1226 3.5904
3.4584 6.3677 2.1506
3.9641 4.8609 4.7393
3.9641 7.8746 4.7393
4.7973 0.6158 1.8688
4.7973 3.6294 1.8688
5.3029 2.1226 5.0211
```

Peak list (8 most intense, 2θ from 15° to 90°, by angle)
d 2.947, 2θ 30.3, I 100; d 2.920, 2θ 30.6, I 21; d 2.870, 2θ 31.2, I 23; d 2.123, 2θ 42.6, I 12; d 2.047, 2θ 44.2, I 18; d 1.707, 2θ 53.7, I 12; d 1.691, 2θ 54.2, I 15; d 1.672, 2θ 54.9, I 22

[2]
For Mg6ZnBi, a cell relaxed with PBE gives the calculated XRD peak list in this record (copper Kα).
Peak positions follow from Bragg's law for the DFT cell and can differ from measured ones.

Structure:
```
Mg6ZnBi
1.0
5.3041 0.0000 0.0000
0.0000 6.4155 0.0000
0.0000 0.0000 10.8231
Mg Zn Bi
12 2 2
Cartesian
0.0000 0.0000 0.0000
0.0000 0.0000 5.3670
0.0000 1.5576 2.6847
0.0000 1.6502 8.0963
0.0000 3.2078 5.4115
0.0000 3.2078 10.7785
0.0000 4.7653 8.0963
0.0000 4.8579 2.6847
2.6520 1.6003 9.9058
2.6520 1.6075 4.4943
2.6520 4.8080 4.4943
2.6520 4.8152 9.9058
2.6520 0.0000 1.7706
2.6520 3.2078 7.1821
2.6520 0.0000 7.1994
2.6520 3.2078 1.7879
```

Peak list (8 most intense, 2θ from 15° to 90°, by angle)
d 5.519, 2θ 16.1, I 41; d 5.412, 2θ 16.4, I 58; d 5.304, 2θ 16.7, I 55; d 3.788, 2θ 23.5, I 51; d 2.759, 2θ 32.4, I 39; d 2.652, 2θ 33.8, I 38; d 2.448, 2θ 36.7, I 100; d 2.410, 2θ 37.3, I 48

[3]
For Ba2SmNbO6, a cell relaxed with PBE gives the calculated XRD peak list in this record (copper Kα).
Peak positions follow from Bragg's law for the DFT cell and can differ from measured ones.

Structure:
```
Ba2SmNbO6
1.0
0.0000 4.3298 4.3298
4.3298 0.0000 4.3298
4.3298 4.3298 0.0000
Ba Sm Nb O
2 1 1 6
Cartesian
2.1649 2.1649 2.1649
6.4946 6.4946 6.4946
0.0000 0.0000 0.0000
4.3298 4.3298 4.3298
4.3298 4.3298 2.3044
4.3298 2.3044 4.3298
6.3551 4.3298 4.3298
2.3044 4.3298 4.3298
4.3298 6.3551 4.3298
4.3298 4.3298 6.3551
```

Peak list (8 most intense, 2θ from 15° to 90°, by angle)
d 3.062, 2θ 29.2, I 100; d 2.500, 2θ 35.9, I 2; d 2.165, 2θ 41.7, I 30; d 1.768, 2θ 51.7, I 41; d 1.531, 2θ 60.5, I 19; d 1.369, 2θ 68.5, I 18; d 1.250, 2θ 76.2, I 6; d 1.157, 2θ 83.6, I 21

[4]
For Ce4SiRh12, a cell relaxed with PBE gives the calculated XRD peak list in this record (copper Kα).
Peak positions follow from Bragg's law for the DFT cell and can differ from measured ones.

Structure:
```
Ce4SiRh12
1.0
-4.1603 4.1603 4.1603
4.1603 -4.1603 4.1603
4.1603 4.1603 -4.1603
Ce Si Rh
4 1 12
Cartesian
2.0801 2.0801 -2.0801
2.0801 -2.0801 2.0801
-2.0801 2.0801 2.0801
2.0801 2.0801 2.0801
0.0000 0.0000 0.0000
2.3212 0.0000 0.0000
5.9993 0.0000 0.0000
4.1603 2.0801 0.0000
4.1603 0.0000 2.0801
0.0000 2.3212 0.0000
0.0000 0.0000 2.3212
2.0801 4.1603 0.0000
2.0801 0.0000 4.1603
0.0000 5.9993 0.0000
0.0000 0.0000 5.9993
0.0000 4.1603 2.0801
0.0000 2.0801 4.1603
```

Peak list (8 most intense, 2θ from 15° to 90°, by angle)
d 2.942, 2θ 30.4, I 3; d 2.402, 2θ 37.4, I 100; d 2.080, 2θ 43.5, I 51; d 1.774, 2θ 51.5, I 3; d 1.471, 2θ 63.2, I 31; d 1.254, 2θ 75.8, I 33; d 1.201, 2θ 79.9, I 10; d 1.132, 2θ 85.8, I 3

[5]
For Sr3TiGa10O20, a cell relaxed with PBE gives the calculated XRD peak list in this record (copper Kα).
Peak positions follow from Bragg's law for the DFT cell and can differ from measured ones.

Structure:
```
Sr3TiGa10O20
1.0
7.8573 -5.9126 0.0000
7.8573 5.9126 0.0000
-1.6516 0.0000 4.8823
Sr Ti Ga O
3 1 10 20
Cartesian
0.0000 0.0000 0.0000
3.8885 0.0000 1.3998
10.1744 0.0000 3.4825
7.8573 0.0000 0.0000
1.1620 1.6012 3.1940
4.2823 2.5637 4.0725
1.1620 -1.6012 3.1940
7.0315 1.5968 2.4411
9.7807 2.5637 0.8098
4.2823 -2.5637 4.0725
7.0315 -1.5968 2.4411
12.9009 1.6012 1.6883
9.7807 -2.5637 0.8098
12.9009 -1.6012 1.6883
2.1971 1.6476 0.0712
0.6492 0.0000 2.4226
3.0046 1.5964 3.1785
5.6368 2.9242 2.8071
2.1971 -1.6476 0.0712
6.5052 1.3916 0.5227
8.4262 2.9242 2.0752
3.0046 -1.5964 3.1785
5.8008 0.0000 2.9836
7.5577 1.3916 4.3596
6.5052 -1.3916 0.5227
8.2622 0.0000 1.8987
11.0584 1.5964 1.7038
5.6368 -2.9242 2.8071
7.5577 -1.3916 4.3596
11.8659 1.6476 4.8111
8.4262 -2.9242 2.0752
11.0584 -1.5964 1.7038
13.4138 0.0000 2.4597
11.8659 -1.6476 4.8111
```

Peak list (8 most intense, 2θ from 15° to 90°, by angle)
d 3.150, 2θ 28.3, I 100; d 3.131, 2θ 28.5, I 88; d 3.068, 2θ 29.1, I 75; d 2.913, 2θ 30.7, I 77; d 2.890, 2θ 30.9, I 60; d 2.577, 2θ 34.8, I 91; d 2.526, 2θ 35.5, I 73; d 1.640, 2θ 56.1, I 55

[6]
For LiCr2S4, a cell relaxed with PBE gives the calculated XRD peak list in this record (copper Kα).
Peak positions follow from Bragg's law for the DFT cell and can differ from measured ones.

Structure:
```
LiCr2S4
1.0
-3.5829 3.5829 4.8539
3.5829 -3.5829 4.8539
3.5829 3.5829 -4.8539
Li Cr S
2 4 8
Cartesian
3.5829 1.7915 1.2135
0.0000 1.7915 3.6404
0.0000 0.0000 0.0000
1.7915 1.7915 -2.4270
1.7915 -1.7915 2.4270
0.0000 3.5829 0.0000
3.5829 3.3729 -2.4577
3.5829 -0.2101 2.4577
1.5814 1.7915 -0.0307
2.0015 -1.7915 4.8232
1.5814 5.3744 0.0307
2.0015 1.7915 4.8846
0.0000 3.7930 2.3963
0.0000 0.2101 7.3116
```

Peak list (8 most intense, 2θ from 15° to 90°, by angle)
d 5.765, 2θ 15.4, I 100; d 3.043, 2θ 29.3, I 21; d 2.534, 2θ 35.4, I 73; d 2.427, 2θ 37.0, I 34; d 1.947, 2θ 46.6, I 21; d 1.791, 2θ 51.0, I 23; d 1.753, 2θ 52.2, I 46; d 1.441, 2θ 64.7, I 19

[7]
For ReTc3, a cell relaxed with PBE gives the calculated XRD peak list in this record (copper Kα).
Peak positions follow from Bragg's law for the DFT cell and can differ from measured ones.

Structure:
```
ReTc3
1.0
5.5277 0.0000 0.0000
-2.7638 4.7871 0.0000
0.0000 0.0000 4.4409
Re Tc
2 6
Cartesian
0.0000 3.1914 1.1102
2.7638 1.5957 3.3307
0.0000 1.6029 3.3307
-1.3757 3.9857 3.3307
1.3881 0.8014 1.1102
1.3757 3.9857 3.3307
4.1395 0.8014 1.1102
2.7638 3.1842 1.1102
```

Peak list (8 most intense, 2θ from 15° to 90°, by angle)
d 2.394, 2θ 37.6, I 24; d 2.220, 2θ 40.6, I 26; d 2.107, 2θ 42.9, I 100; d 1.628, 2θ 56.5, I 15; d 1.382, 2θ 67.8, I 17; d 1.259, 2θ 75.5, I 18; d 1.173, 2θ 82.2, I 20; d 1.156, 2θ 83.7, I 14

Number 2 is which compound? Mg6ZnBi